No. 1
For Li2HfO3, DFT lattice parameters and positions (PBE) gives the computed XRD peak list in this record (copper Kα).
Peak positions follow from Bragg's law for the DFT cell and can differ from measured ones.

Peak list (6 most intense, 15 to 90 degrees two-theta, in order of rising 2θ)
d_spacing, I_rel
4.956, 100
4.452, 40
3.962, 29
2.648, 39
2.533, 34
2.178, 42

Cell and atoms:
Lattice parameters (Å, degrees): 5.385 5.385 5.280 99.95 99.95 119.82
Fractional coordinates of all 12 atoms:
Li (0.000, 0.000, 0.000)
Li (0.158, 0.842, 0.500)
Li (0.500, 0.500, 0.500)
Li (0.842, 0.158, 0.500)
Hf (0.334, 0.666, 0.000)
Hf (0.666, 0.334, 0.000)
O (0.079, 0.431, 0.231)
O (0.276, 0.276, 0.764)
O (0.431, 0.079, 0.231)
O (0.569, 0.921, 0.769)
O (0.724, 0.724, 0.236)
O (0.921, 0.569, 0.769)

***

No. 2
For ZnGe3, DFT lattice parameters and positions (PBE) gives the computed XRD peak list in this record (copper Kα).
Peak positions follow from Bragg's law for the DFT cell and can differ from measured ones.

Peak list (6 most intense, 15 to 90 degrees two-theta, in order of rising 2θ)
d_spacing, I_rel
2.561, 32
2.524, 23
2.264, 100
1.798, 16
1.414, 21
1.267, 20

Cell and atoms:
Lattice parameters (Å, degrees): 5.829 5.829 5.123 90.00 90.00 120.00
Fractional coordinates of all 8 atoms:
Zn (0.333, 0.667, 0.250)
Zn (0.667, 0.333, 0.750)
Ge (0.168, 0.337, 0.750)
Ge (0.168, 0.832, 0.750)
Ge (0.337, 0.168, 0.250)
Ge (0.663, 0.832, 0.750)
Ge (0.832, 0.168, 0.250)
Ge (0.832, 0.663, 0.250)

***

No. 3
For CaUO4, DFT lattice parameters and positions (PBE) gives the computed XRD peak list in this record (copper Kα).
Peak positions follow from Bragg's law for the DFT cell and can differ from measured ones.

Peak list (6 most intense, 15 to 90 degrees two-theta, in order of rising 2θ)
d_spacing, I_rel
3.316, 54
3.156, 100
2.690, 38
1.948, 38
1.859, 31
1.629, 29

Cell and atoms:
Lattice parameters (Å, degrees): 6.350 6.350 6.350 35.74 35.74 35.74
Fractional coordinates of all 6 atoms:
Ca (0.000, 0.000, 0.000)
U (0.500, 0.500, 0.500)
O (0.137, 0.137, 0.137)
O (0.389, 0.389, 0.389)
O (0.611, 0.611, 0.611)
O (0.863, 0.863, 0.863)

***

No. 4
For GdInIr, DFT lattice parameters and positions (PBE) gives the computed XRD peak list in this record (copper Kα).
Peak positions follow from Bragg's law for the DFT cell and can differ from measured ones.

Peak list (6 most intense, 15 to 90 degrees two-theta, in order of rising 2θ)
d_spacing, I_rel
2.751, 79
2.535, 100
2.471, 33
2.179, 45
2.105, 39
1.405, 33

Cell and atoms:
Lattice parameters (Å, degrees): 7.549 7.549 4.016 90.00 90.00 120.00
Fractional coordinates of all 9 atoms:
Gd (0.000, 0.593, 0.000)
Gd (0.407, 0.407, 0.000)
Gd (0.593, 0.000, 0.000)
In (0.000, 0.255, 0.500)
In (0.255, 0.000, 0.500)
In (0.745, 0.745, 0.500)
Ir (0.000, 0.000, 0.000)
Ir (0.333, 0.667, 0.500)
Ir (0.667, 0.333, 0.500)

***

No. 5
For MgZn5, DFT lattice parameters and positions (PBE) gives the computed XRD peak list in this record (copper Kα).
Peak positions follow from Bragg's law for the DFT cell and can differ from measured ones.

Peak list (6 most intense, 15 to 90 degrees two-theta, in order of rising 2θ)
d_spacing, I_rel
2.396, 24
2.385, 31
2.141, 100
1.690, 16
1.325, 19
1.197, 18

Cell and atoms:
Lattice parameters (Å, degrees): 4.792 4.792 4.771 90.00 90.00 120.00
Fractional coordinates of all 6 atoms:
Mg (0.000, 0.000, 0.000)
Zn (0.000, 0.345, 0.500)
Zn (0.333, 0.667, 0.000)
Zn (0.345, 0.000, 0.500)
Zn (0.655, 0.655, 0.500)
Zn (0.667, 0.333, 0.000)

***

No. 6
For Ac3Zn, DFT lattice parameters and positions (PBE) gives the computed XRD peak list in this record (copper Kα).
Peak positions follow from Bragg's law for the DFT cell and can differ from measured ones.

Peak list (6 most intense, 15 to 90 degrees two-theta, in order of rising 2θ)
d_spacing, I_rel
3.320, 24
2.899, 23
2.881, 100
1.917, 20
1.670, 21
1.599, 23

Cell and atoms:
Lattice parameters (Å, degrees): 7.667 7.667 5.798 90.00 90.00 120.00
Fractional coordinates of all 8 atoms:
Ac (0.176, 0.352, 0.250)
Ac (0.176, 0.824, 0.250)
Ac (0.352, 0.176, 0.750)
Ac (0.648, 0.824, 0.250)
Ac (0.824, 0.176, 0.750)
Ac (0.824, 0.648, 0.750)
Zn (0.333, 0.667, 0.750)
Zn (0.667, 0.333, 0.250)

***

No. 7
For CsCeSiS4, DFT lattice parameters and positions (PBE) gives the computed XRD peak list in this record (copper Kα).
Peak positions follow from Bragg's law for the DFT cell and can differ from measured ones.

Peak list (6 most intense, 15 to 90 degrees two-theta, in order of rising 2θ)
d_spacing, I_rel
4.555, 100
3.386, 72
3.074, 77
2.720, 53
2.276, 74
2.115, 54

Cell and atoms:
Lattice parameters (Å, degrees): 18.258 6.772 6.528 90.00 90.00 90.00
Fractional coordinates of all 28 atoms:
Cs (0.215, 0.250, 0.002)
Cs (0.285, 0.750, 0.502)
Cs (0.715, 0.250, 0.498)
Cs (0.785, 0.750, 0.998)
Ce (0.022, 0.750, 0.292)
Ce (0.478, 0.250, 0.792)
Ce (0.522, 0.750, 0.208)
Ce (0.978, 0.250, 0.708)
Si (0.085, 0.750, 0.788)
Si (0.415, 0.250, 0.288)
Si (0.585, 0.750, 0.712)
Si (0.915, 0.250, 0.212)
S (0.028, 0.250, 0.125)
S (0.102, 0.502, 0.590)
S (0.102, 0.998, 0.590)
S (0.154, 0.750, 0.047)
S (0.346, 0.250, 0.547)
S (0.398, 0.002, 0.090)
S (0.398, 0.498, 0.090)
S (0.472, 0.750, 0.625)
S (0.528, 0.250, 0.375)
S (0.602, 0.502, 0.910)
S (0.602, 0.998, 0.910)
S (0.654, 0.750, 0.453)
S (0.846, 0.250, 0.953)
S (0.898, 0.002, 0.410)
S (0.898, 0.498, 0.410)
S (0.972, 0.750, 0.875)